# 1
Theoretical PXRD pattern of CsPO2F2 for Cu Kα, 1.54184 Å, from a GGA-PBE-relaxed structure.

Most intense lines, 10 to 90 degrees two-theta, by angle:
(hkl)  2theta  I (rel.)
1 1 1  19.46  16
1 0 2  23.67  51
2 1 0  24.07  100
0 2 0  25.50  49
1 1 2  26.93  68
2 2 1  34.63  26
1 2 2  35.08  51
1 1 3  36.30  16
3 1 2  39.98  21
1 3 2  45.83  17

Structural model:
Cell lengths 8.7125, 6.9874, 8.3328 Å; angles 90.00, 90.00, 90.00 degrees
Space group Pnma (No. 62)
Symmetry-distinct sites (fractional):
Cs  0.1366  0.2500  0.1423 x4
P  0.1120  0.2500  0.6817 x4
O  0.1133  0.0628  0.7661 x8
F  0.0270  0.7500  0.4443 x4
F  0.2481  0.2500  0.5510 x4

=====

# 2
Theoretical PXRD pattern of AlP3O10 for Cu Kα, 1.54184 Å, from a GGA-PBE-relaxed structure.

Most intense lines, 10 to 90 degrees two-theta, by angle:
(hkl)  2theta  I (rel.)
0 1 1  12.70  66
1 1 0  16.50  55
1 1 -2  18.74  64
1 1 1  20.04  53
0 2 0  20.63  45
1 1 -3  23.68  56
1 1 2  25.41  100
2 0 0  25.93  81
1 2 -3  29.80  100
2 2 -3  34.41  57

Structural model:
Cell lengths 7.4166, 8.6096, 12.8186 Å; angles 90.00, 112.04, 90.00 degrees
Space group P2_1/c (No. 14)
Symmetry-distinct sites (fractional):
Al  0.2315  0.0730  0.2075 x4
P  0.1428  0.1086  0.7946 x4
P  0.2125  0.6136  0.4794 x4
P  0.3577  0.0958  0.6433 x4
O  0.0031  0.1507  0.0819 x4
O  0.0689  0.5682  0.7400 x4
O  0.1909  0.2217  0.3023 x4
O  0.2290  0.0256  0.7116 x4
O  0.2388  0.0784  0.5166 x4
O  0.2649  0.0327  0.9149 x4
O  0.2668  0.5654  0.6006 x4
O  0.3281  0.7433  0.9698 x4
O  0.3774  0.2286  0.1627 x4
O  0.4560  0.5042  0.8173 x4

=====

# 3
Theoretical PXRD pattern of Rb3Hf for Cu Kα, 1.54184 Å, from a GGA-PBE-relaxed structure.

Most intense lines, 10 to 90 degrees two-theta, by angle:
(hkl)  2theta  I (rel.)
1 0 0  11.62  9
2 0 0  23.37  23
0 0 2  25.47  25
2 0 1  26.66  100
2 0 2  34.84  17
2 2 0  41.07  20
2 0 3  45.63  23
2 2 2  48.95  24
4 0 1  49.64  17
4 2 1  66.33  13

Structural model:
Cell lengths 8.7912, 8.7912, 6.9946 Å; angles 90.00, 90.00, 120.00 degrees
Space group P6_3/mmc (No. 194)
Symmetry-distinct sites (fractional):
Rb  0.1764  0.3528  0.2500 x6
Hf  0.3333  0.6667  0.7500 x2

=====

# 4
Theoretical PXRD pattern of CeSe2 for Cu Kα, 1.54184 Å, from a GGA-PBE-relaxed structure.

Most intense lines, 10 to 90 degrees two-theta, by angle:
(hkl)  2theta  I (rel.)
1 1 1  11.54  10
1 0 2  13.85  39
2 0 1  15.20  100
1 1 2  15.52  23
2 1 1  16.74  17
3 0 3  27.79  14
4 0 0  28.13  21
3 1 3  28.68  15
5 0 2  37.49  12
3 3 4  38.72  10

Structural model:
Cell lengths 12.6796, 12.6796, 14.8091 Å; angles 90.00, 90.00, 90.00 degrees
Space group P4_32_12 (No. 96)
Symmetry-distinct sites (fractional):
Ce  0.0885  0.0885  0.0000 x4
Ce  0.1209  0.6760  0.9977 x8
Se  0.0546  0.3679  0.3993 x8
Se  0.1171  0.8776  0.4555 x8
Se  0.1553  0.2044  0.1433 x8

=====

# 5
Theoretical PXRD pattern of Ba6Fe8S15 for Cu Kα, 1.54184 Å, from a GGA-PBE-relaxed structure.

Most intense lines, 10 to 90 degrees two-theta, by angle:
(hkl)  2theta  I (rel.)
2 0 2  23.45  29
3 1 0  24.62  52
3 0 1  24.96  26
3 2 1  29.52  28
1 3 2  30.36  100
2 1 3  31.73  36
2 4 0  35.10  26
2 3 3  38.93  38
4 2 4  50.73  42
5 1 4  54.64  24

Structural model:
Cell lengths 11.4328, 11.4328, 10.1406 Å; angles 90.00, 90.00, 90.00 degrees
Space group I4/m (No. 87)
Symmetry-distinct sites (fractional):
Ba  0.0000  0.0000  0.1972 x4
Ba  0.1324  0.7489  0.5000 x8
Fe  0.0584  0.6466  0.1333 x16
S  0.0000  0.0000  0.5000 x2
S  0.0000  0.5000  0.0000 x4
S  0.0781  0.2766  0.2704 x16
S  0.0975  0.7948  0.0000 x8

=====

# 6
Theoretical PXRD pattern of CuAg2O2 for Cu Kα, 1.54184 Å, from a GGA-PBE-relaxed structure.

Most intense lines, 10 to 90 degrees two-theta, by angle:
(hkl)  2theta  I (rel.)
0 0 2  20.79  24
1 0 1  24.30  23
1 1 0  31.20  45
1 1 2  37.79  100
0 0 4  42.30  28
2 0 0  44.71  47
1 1 4  53.49  17
2 0 4  63.23  31
3 1 2  77.78  23
2 2 4  80.73  15

Structural model:
Cell lengths 4.0542, 4.0542, 8.5463 Å; angles 90.00, 90.00, 90.00 degrees
Space group I4/mmm (No. 139)
Symmetry-distinct sites (fractional):
Cu  0.0000  0.0000  0.0000 x2
Ag  0.0000  0.5000  0.2500 x4
O  0.0000  0.5000  0.0000 x4

=====

# 7
Theoretical PXRD pattern of CaPr2S4 for Cu Kα, 1.54184 Å, from a GGA-PBE-relaxed structure.

Most intense lines, 10 to 90 degrees two-theta, by angle:
(hkl)  2theta  I (rel.)
1 0 1  14.50  24
1 1 2  25.27  100
1 0 3  32.70  29
3 1 0  32.88  83
2 1 3  38.99  49
3 2 1  39.12  33
4 0 2  47.15  31
3 2 3  49.54  27
3 1 4  54.12  19
5 3 2  66.93  27

Structural model:
Cell lengths 8.6129, 8.6129, 8.6653 Å; angles 90.00, 90.00, 90.00 degrees
Space group I-42d (No. 122)
Symmetry-distinct sites (fractional):
Ca  0.0000  0.0000  0.0000 x4
Pr  0.1293  0.7500  0.6250 x8
S  0.0736  0.6784  0.9464 x16

=====

# 8
Theoretical PXRD pattern of DyHoZn2 for Cu Kα, 1.54184 Å, from a GGA-PBE-relaxed structure.

Most intense lines, 10 to 90 degrees two-theta, by angle:
(hkl)  2theta  I (rel.)
2 0 0  25.17  18
2 2 0  35.90  100
2 2 2  44.35  6
4 0 0  51.68  18
4 2 0  58.33  8
4 2 2  64.53  35
4 4 0  76.11  11
6 0 0  81.65  4
6 2 0  87.12  16

Structural model:
Cell lengths 7.0751, 7.0751, 7.0751 Å; angles 90.00, 90.00, 90.00 degrees
Space group Fm-3m (No. 225)
Symmetry-distinct sites (fractional):
Dy  0.0000  0.0000  0.0000 x4
Ho  0.0000  0.0000  0.5000 x4
Zn  0.2500  0.2500  0.2500 x8

=====

# 9
Theoretical PXRD pattern of Ca3Ge4Ir4 for Cu Kα, 1.54184 Å, from a GGA-PBE-relaxed structure.

Most intense lines, 10 to 90 degrees two-theta, by angle:
(hkl)  2theta  I (rel.)
1 1 0  16.38  100
2 1 1  28.57  33
3 1 0  37.14  76
2 2 2  40.84  25
3 2 1  44.28  49
3 3 0  50.59  42
4 3 1  61.80  20
5 2 1  66.96  16
6 1 1  76.76  21
6 2 2  83.84  17

Structural model:
Cell lengths 7.6544, 7.6544, 7.6544 Å; angles 90.00, 90.00, 90.00 degrees
Space group I-43m (No. 217)
Symmetry-distinct sites (fractional):
Ca  0.0000  0.0000  0.5000 x6
Ge  0.1874  0.1874  0.1874 x8
Ir  0.1342  0.1342  0.8658 x8

=====

# 10
Theoretical PXRD pattern of SiPd for Cu Kα, 1.54184 Å, from a GGA-PBE-relaxed structure.

Most intense lines, 10 to 90 degrees two-theta, by angle:
(hkl)  2theta  I (rel.)
1 0 1  21.35  22
0 0 2  28.98  26
0 1 1  29.55  99
2 0 0  31.70  44
1 1 2  42.38  65
2 0 2  43.48  36
2 1 1  43.89  100
1 0 3  47.08  34
0 2 0  52.78  23
3 1 4  86.30  22

Structural model:
Cell lengths 5.6451, 3.4691, 6.1617 Å; angles 90.00, 90.00, 90.00 degrees
Space group Pnma (No. 62)
Symmetry-distinct sites (fractional):
Si  0.1768  0.2500  0.0727 x4
Pd  0.0040  0.2500  0.6909 x4

=====

# 11
Theoretical PXRD pattern of EuAs3 for Cu Kα, 1.54184 Å, from a GGA-PBE-relaxed structure.

Most intense lines, 10 to 90 degrees two-theta, by angle:
(hkl)  2theta  I (rel.)
1 -1 0  24.64  33
1 0 -1  25.70  24
1 0 2  30.84  100
2 1 1  31.63  40
1 2 0  31.99  78
2 0 0  32.87  51
0 2 1  33.11  53
0 1 2  33.39  46
1 0 -2  39.72  25
0 2 -2  47.29  39

Structural model:
Cell lengths 5.8837, 6.0045, 6.0722 Å; angles 79.23, 71.07, 75.54 degrees
Space group P-1 (No. 2)
Symmetry-distinct sites (fractional):
Eu  0.1601  0.1781  0.1481 x2
As  0.2776  0.5045  0.5209 x2
As  0.2854  0.0815  0.6185 x2
As  0.3116  0.6423  0.0961 x2